Starting from a structure optimized by DFT (PBE+U), the powder diffractogram of K5Na3Nb7WO24 was calculated for λ = 1.5418 Å (Cu Kα).

Atomic structure:
```
K5Na3Nb7WO24
1.0
5.7066 -5.7061 0.0000
5.7066 5.7061 0.0000
-0.0006 0.0000 8.0689
K Na Nb W O
5 3 7 1 24
direct
0.0000 0.0000 0.0000 K
0.0000 0.0000 0.4986 K
0.0000 0.4985 0.0000 K
0.4985 0.0000 0.0000 K
0.4985 0.4985 0.0000 K
0.0000 0.4985 0.4985 Na
0.4985 0.0000 0.4985 Na
0.4985 0.4985 0.4985 Na
0.2496 0.2496 0.2504 Nb
0.2496 0.2496 0.7483 Nb
0.2496 0.7489 0.2503 Nb
0.2497 0.7490 0.7483 Nb
0.7489 0.2496 0.2503 Nb
0.7490 0.2497 0.7483 Nb
0.7489 0.7489 0.2507 Nb
0.7490 0.7490 0.7484 W
0.2494 0.2494 0.9988 O
0.2494 0.4997 0.2512 O
0.2494 0.5005 0.7473 O
0.2494 0.7491 0.9980 O
0.2502 0.2502 0.4997 O
0.2502 0.7483 0.5005 O
0.2502 0.9980 0.7481 O
0.2502 0.9988 0.2504 O
0.4997 0.2494 0.2512 O
0.5005 0.2494 0.7473 O
0.5005 0.7491 0.2513 O
0.5056 0.7491 0.7473 O
0.7483 0.2502 0.5005 O
0.7484 0.7484 0.5054 O
0.7484 0.9928 0.7481 O
0.7483 0.9980 0.2505 O
0.7491 0.2494 0.9980 O
0.7491 0.5005 0.2513 O
0.7491 0.5056 0.7473 O
0.7491 0.7491 0.9926 O
0.9928 0.7484 0.7481 O
0.9980 0.2502 0.7481 O
0.9980 0.7483 0.2505 O
0.9988 0.2502 0.2504 O
```

Main lines, most intense first (15° ≤ 2θ ≤ 90°):
| 2θ (°) | I (rel.) |
| --- | --- |
| 31.35 | 100.0 |
| 22.03 | 63.3 |
| 44.93 | 40.8 |
| 55.81 | 38.3 |
| 50.58 | 25.7 |
| 65.42 | 23.4 |
| 74.34 | 16.1 |
| 69.95 | 11.8 |
| 82.89 | 7.5 |
| 87.09 | 5.3 |